Structure and calculated X-ray powder pattern of K2CuH4 (a DFT-relaxed cell (GGA-PBE, the Materials Project); Cu Kα (λ = 1.5418 Å)).
Lines closer than 0.1° are merged.

abc: 3.883 3.883 13.174
angles: 90.00 90.00 90.00
Space group I4/mmm (No. 139)
Inequivalent atoms, fractional coordinates:
K 0.000 0.000 0.138 x4
Cu 0.000 0.000 0.500 x2
H 0.000 0.000 0.374 x4
H 0.000 0.500 0.000 x4

Largest 10 diffraction maxima, low angle first, 10 to 90 degrees two-theta:
- (0 0 2), 13.44 deg, I = 33
- (1 0 3), 30.74 deg, I = 100
- (1 1 0), 32.61 deg, I = 51
- (1 1 2), 35.42 deg, I = 10
- (1 0 5), 41.41 deg, I = 21
- (2 0 0), 46.79 deg, I = 18
- (1 1 6), 53.43 deg, I = 11
- (2 1 3), 57.03 deg, I = 30
- (2 1 5), 64.24 deg, I = 10
- (1 1 8), 66.17 deg, I = 9

***

Structure and calculated X-ray powder pattern of VSiNi (a DFT-relaxed cell (GGA-PBE, the Materials Project); Cu Kα (λ = 1.5418 Å)).
Lines closer than 0.1° are merged.

abc: 5.975 3.542 6.922
angles: 90.00 90.00 90.00
Space group Pnma (No. 62)
Inequivalent atoms, fractional coordinates:
V 0.027 0.250 0.167 x4
Si 0.231 0.750 0.371 x4
Ni 0.147 0.250 0.561 x4

Largest 10 diffraction maxima, low angle first, 10 to 90 degrees two-theta:
- (1 1 1), 32.10 deg, I = 13
- (1 1 2), 39.42 deg, I = 100
- (2 1 1), 41.65 deg, I = 48
- (1 0 3), 41.97 deg, I = 20
- (0 1 3), 47.00 deg, I = 22
- (3 0 1), 47.50 deg, I = 26
- (1 1 3), 49.56 deg, I = 16
- (0 2 0), 51.62 deg, I = 28
- (3 2 1), 72.75 deg, I = 13
- (3 1 4), 77.96 deg, I = 14

***

Structure and calculated X-ray powder pattern of CdCo2N2 (a DFT-relaxed cell (GGA-PBE, the Materials Project); Cu Kα (λ = 1.5418 Å)).
Lines closer than 0.1° are merged.

abc: 5.658 2.717 15.836
angles: 90.00 90.00 90.00
Space group Pnma (No. 62)
Inequivalent atoms, fractional coordinates:
Cd 0.135 0.250 0.228 x4
Co 0.137 0.750 0.066 x4
Co 0.137 0.750 0.433 x4
N 0.138 0.750 0.559 x4
N 0.140 0.750 0.938 x4

Largest 10 diffraction maxima, low angle first, 10 to 90 degrees two-theta:
- (0 0 4), 22.46 deg, I = 34
- (2 0 1), 32.14 deg, I = 84
- (0 1 1), 33.46 deg, I = 17
- (0 0 6), 33.97 deg, I = 60
- (0 1 3), 37.22 deg, I = 96
- (2 0 5), 42.86 deg, I = 47
- (2 1 2), 47.81 deg, I = 100
- (2 1 4), 52.07 deg, I = 21
- (2 1 8), 67.23 deg, I = 29
- (4 1 3), 78.32 deg, I = 35